(1)
Diffraction record for Mg2HgSb. The X-ray diffraction stick pattern is computed, not measured: it uses a crystal structure in Alexandria, relaxed with GGA-PBE and Cu Kα (λ = 1.5418 Å).
No peak broadening, texture or thermal motion is included.

Top 12 peaks for 2θ from 10° to 90°, low angle first:
2θ 20.63, I 30.5
2θ 26.39, I 100.0
2θ 34.54, I 17.2
2θ 39.86, I 33.9
2θ 40.57, I 43.3
2θ 41.97, I 11.5
2θ 49.65, I 11.8
2θ 54.32, I 10.5
2θ 57.10, I 23.7
2θ 59.26, I 10.6
2θ 65.48, I 15.7
2θ 86.88, I 10.1

Structure:
```
data_Mg2HgSb
_symmetry_space_group_name_H-M 'I -4 2 d'
_symmetry_Int_Tables_number 122
_symmetry_space_group_name_Hall 'I -4 2bw'
_cell_length_a 5.1932
_cell_length_b 5.1932
_cell_length_c 17.2216
_cell_angle_alpha 90.00
_cell_angle_beta 90.00
_cell_angle_gamma 90.00
loop_
_atom_site_label
_atom_site_type_symbol
_atom_site_fract_x
_atom_site_fract_y
_atom_site_fract_z
_atom_site_occupancy
Mg1 Mg 0.2436 0.2500 0.1250 1
Hg1 Hg 0.0000 0.0000 0.0000 1
Sb1 Sb 0.0000 0.0000 0.5000 1
```



(2)
Diffraction record for Mg3Sc3Hg2. The X-ray diffraction stick pattern is computed, not measured: it uses a crystal structure in Alexandria, relaxed with GGA-PBE and Cu Kα (λ = 1.5418 Å).
No peak broadening, texture or thermal motion is included.

Top 12 peaks for 2θ from 10° to 90°, low angle first:
2θ 18.52, I 78.5
2θ 23.53, I 15.4
2θ 26.31, I 23.9
2θ 30.11, I 50.2
2θ 35.59, I 100.0
2θ 37.55, I 43.1
2θ 42.19, I 20.7
2θ 48.86, I 27.3
2θ 54.15, I 14.7
2θ 62.60, I 18.8
2θ 66.43, I 15.8
2θ 66.56, I 15.7

Structure:
```
data_Mg3Sc3Hg2
_symmetry_space_group_name_H-M 'P m m m'
_symmetry_Int_Tables_number 47
_cell_length_a 4.7843
_cell_length_b 4.7964
_cell_length_c 7.5615
_cell_angle_alpha 90.00
_cell_angle_beta 90.00
_cell_angle_gamma 90.00
loop_
_symmetry_equiv_pos_as_xyz
'x,y,z'
'-x,-y,-z'
'-x,-y,z'
'x,y,-z'
'x,-y,-z'
'-x,y,z'
'-x,y,-z'
'x,-y,z'
loop_
_atom_site_label
_atom_site_type_symbol
_atom_site_fract_x
_atom_site_fract_y
_atom_site_fract_z
_atom_site_occupancy
Mg1 Mg 0.0000 0.0000 0.0000 1
Mg2 Mg 0.5000 0.0000 0.2422 1
Sc1 Sc 0.0000 0.0000 0.5000 1
Sc2 Sc 0.5000 0.5000 0.0000 1
Sc3 Sc 0.5000 0.5000 0.5000 1
Hg1 Hg 0.0000 0.5000 0.2488 1
```



(3)
Diffraction record for Mg4Sc5Hg. The X-ray diffraction stick pattern is computed, not measured: it uses a crystal structure in Alexandria, relaxed with GGA-PBE and Cu Kα (λ = 1.5418 Å).
No peak broadening, texture or thermal motion is included.

Top 12 peaks for 2θ from 10° to 90°, low angle first:
2θ 10.00, I 49.1
2θ 15.03, I 21.3
2θ 20.08, I 12.0
2θ 25.28, I 24.8
2θ 26.77, I 21.6
2θ 29.09, I 17.6
2θ 32.09, I 11.6
2θ 35.31, I 50.2
2θ 35.61, I 100.0
2θ 50.79, I 17.1
2θ 63.57, I 35.5
2θ 64.15, I 16.1

Structure:
```
data_Mg4Sc5Hg
_symmetry_space_group_name_H-M 'P 4/m m m'
_symmetry_Int_Tables_number 123
_symmetry_space_group_name_Hall '-P 4 2'
_cell_length_a 3.5949
_cell_length_b 3.5949
_cell_length_c 17.6838
_cell_angle_alpha 90.00
_cell_angle_beta 90.00
_cell_angle_gamma 90.00
loop_
_atom_site_label
_atom_site_type_symbol
_atom_site_fract_x
_atom_site_fract_y
_atom_site_fract_z
_atom_site_occupancy
Mg1 Mg 0.0000 0.0000 0.1016 1
Mg2 Mg 0.0000 0.0000 0.3020 1
Sc1 Sc 0.5000 0.5000 0.0000 1
Sc2 Sc 0.5000 0.5000 0.2033 1
Sc3 Sc 0.5000 0.5000 0.4038 1
Hg1 Hg 0.0000 0.0000 0.5000 1
```



(4)
Diffraction record for MgSc6Hg5. The X-ray diffraction stick pattern is computed, not measured: it uses a crystal structure in Alexandria, relaxed with GGA-PBE and Cu Kα (λ = 1.5418 Å).
No peak broadening, texture or thermal motion is included.

Top 12 peaks for 2θ from 10° to 90°, low angle first:
2θ 24.97, I 7.2
2θ 25.08, I 17.4
2θ 25.36, I 32.4
2θ 35.97, I 100.0
2θ 36.35, I 20.3
2θ 44.67, I 8.1
2θ 51.47, I 7.4
2θ 52.09, I 12.9
2θ 58.23, I 7.5
2θ 64.68, I 19.2
2θ 65.16, I 14.2
2θ 76.28, I 9.8

Structure:
```
data_MgSc6Hg5
_symmetry_space_group_name_H-M 'I m m m'
_symmetry_Int_Tables_number 71
_symmetry_space_group_name_Hall '-I 2 2'
_cell_length_a 4.9429
_cell_length_b 7.1017
_cell_length_c 14.9688
_cell_angle_alpha 90.00
_cell_angle_beta 90.00
_cell_angle_gamma 90.00
loop_
_atom_site_label
_atom_site_type_symbol
_atom_site_fract_x
_atom_site_fract_y
_atom_site_fract_z
_atom_site_occupancy
Mg1 Mg 0.0000 0.0000 0.0000 1
Sc1 Sc 0.0000 0.2389 0.5000 1
Sc2 Sc 0.0000 0.2524 0.1701 1
Hg1 Hg 0.0000 0.0000 0.3322 1
Hg2 Hg 0.0000 0.5000 0.0000 1
Hg3 Hg 0.0000 0.5000 0.3484 1
```



(5)
Diffraction record for Mg4Sc5Hg2. The X-ray diffraction stick pattern is computed, not measured: it uses a crystal structure in Alexandria, relaxed with GGA-PBE and Cu Kα (λ = 1.5418 Å).
No peak broadening, texture or thermal motion is included.

Top 12 peaks for 2θ from 10° to 90°, low angle first:
2θ 12.12, I 40.0
2θ 18.34, I 100.0
2θ 22.31, I 27.2
2θ 26.84, I 35.2
2θ 27.57, I 37.7
2θ 31.80, I 35.9
2θ 34.38, I 70.6
2θ 35.75, I 75.9
2θ 36.22, I 35.0
2θ 37.53, I 94.8
2θ 39.45, I 24.5
2θ 53.29, I 27.5

Structure:
```
data_Mg4Sc5Hg2
_symmetry_space_group_name_H-M 'P b a m'
_symmetry_Int_Tables_number 55
_cell_length_a 7.9679
_cell_length_b 18.2686
_cell_length_c 3.4594
_cell_angle_alpha 90.00
_cell_angle_beta 90.00
_cell_angle_gamma 90.00
loop_
_symmetry_equiv_pos_as_xyz
'x,y,z'
'-x,-y,-z'
'-x,-y,z'
'x,y,-z'
'x+1/2,-y+1/2,-z'
'-x+1/2,y+1/2,z'
'-x+1/2,y+1/2,-z'
'x+1/2,-y+1/2,z'
loop_
_atom_site_label
_atom_site_type_symbol
_atom_site_fract_x
_atom_site_fract_y
_atom_site_fract_z
_atom_site_occupancy
Mg1 Mg 0.0780 0.1472 0.0000 1
Mg2 Mg 0.2084 0.4336 0.0000 1
Sc1 Sc 0.0000 0.0000 0.5000 1
Sc2 Sc 0.1246 0.5718 0.5000 1
Sc3 Sc 0.2430 0.7878 0.5000 1
Hg1 Hg 0.0395 0.6955 0.0000 1
```



(6)
Diffraction record for Mg2ScHg. The X-ray diffraction stick pattern is computed, not measured: it uses a crystal structure in Alexandria, relaxed with GGA-PBE and Cu Kα (λ = 1.5418 Å).
No peak broadening, texture or thermal motion is included.

Top 12 peaks for 2θ from 10° to 90°, low angle first:
2θ 15.87, I 83.9
2θ 18.09, I 100.0
2θ 24.15, I 63.1
2θ 27.74, I 34.0
2θ 29.74, I 34.8
2θ 32.05, I 25.6
2θ 34.34, I 46.8
2θ 35.03, I 87.5
2θ 36.65, I 41.9
2θ 37.04, I 81.4
2θ 39.09, I 39.2
2θ 51.10, I 30.1

Structure:
```
data_Mg2ScHg
_symmetry_space_group_name_H-M 'P 1 2/m 1'
_symmetry_Int_Tables_number 10
_cell_length_a 3.2590
_cell_length_b 4.9035
_cell_length_c 5.6595
_cell_angle_alpha 90.00
_cell_angle_beta 99.26
_cell_angle_gamma 90.00
loop_
_symmetry_equiv_pos_as_xyz
'x,y,z'
'-x,-y,-z'
'-x,y,-z'
'x,-y,z'
loop_
_atom_site_label
_atom_site_type_symbol
_atom_site_fract_x
_atom_site_fract_y
_atom_site_fract_z
_atom_site_occupancy
Mg1 Mg 0.1453 0.0000 0.2553 1
Sc1 Sc 0.5000 0.5000 0.0000 1
Hg1 Hg 0.0000 0.5000 0.5000 1
```



(7)
Diffraction record for TmMgSc2Hg4. The X-ray diffraction stick pattern is computed, not measured: it uses a crystal structure in Alexandria, relaxed with GGA-PBE and Cu Kα (λ = 1.5418 Å).
No peak broadening, texture or thermal motion is included.

Top 12 peaks for 2θ from 10° to 90°, low angle first:
2θ 25.10, I 54.5
2θ 35.64, I 100.0
2θ 35.94, I 98.2
2θ 44.34, I 12.9
2θ 51.51, I 35.2
2θ 57.93, I 12.1
2θ 58.34, I 11.8
2θ 63.83, I 18.3
2θ 64.40, I 36.0
2θ 64.60, I 17.9
2θ 86.54, I 16.6
2θ 87.06, I 16.5

Structure:
```
data_TmMgSc2Hg4
_symmetry_space_group_name_H-M 'R -3 m'
_symmetry_Int_Tables_number 166
_symmetry_space_group_name_Hall '-R 3 2"'
_cell_length_a 4.9980
_cell_length_b 4.9980
_cell_length_c 24.7815
_cell_angle_alpha 90.00
_cell_angle_beta 90.00
_cell_angle_gamma 120.00
loop_
_atom_site_label
_atom_site_type_symbol
_atom_site_fract_x
_atom_site_fract_y
_atom_site_fract_z
_atom_site_occupancy
Tm1 Tm 0.0000 0.0000 0.0000 1
Mg1 Mg 0.0000 0.0000 0.5000 1
Sc1 Sc 0.0000 0.0000 0.2465 1
Hg1 Hg 0.0000 0.0000 0.1254 1
Hg2 Hg 0.0000 0.0000 0.3760 1
```



(8)
Diffraction record for MgSiHg2Se4. The X-ray diffraction stick pattern is computed, not measured: it uses a crystal structure in Alexandria, relaxed with GGA-PBE and Cu Kα (λ = 1.5418 Å).
No peak broadening, texture or thermal motion is included.

Top 12 peaks for 2θ from 10° to 90°, low angle first:
2θ 16.02, I 39.3
2θ 26.64, I 100.0
2θ 30.35, I 49.9
2θ 32.11, I 19.5
2θ 36.53, I 33.7
2θ 40.12, I 18.3
2θ 41.51, I 11.5
2θ 45.78, I 39.0
2θ 47.67, I 36.3
2θ 56.47, I 13.0
2θ 72.27, I 8.7
2θ 73.71, I 11.7

Structure:
```
data_MgSiHg2Se4
_symmetry_space_group_name_H-M 'P 1'
_symmetry_Int_Tables_number 1
_cell_length_a 6.7085
_cell_length_b 6.7095
_cell_length_c 6.7108
_cell_angle_alpha 94.30
_cell_angle_beta 117.56
_cell_angle_gamma 117.51
loop_
_symmetry_equiv_pos_as_xyz
'x,y,z'
loop_
_atom_site_label
_atom_site_type_symbol
_atom_site_fract_x
_atom_site_fract_y
_atom_site_fract_z
_atom_site_occupancy
Mg1 Mg 0.0000 0.0000 0.0000 1
Si1 Si 0.5001 0.7493 0.2498 1
Hg1 Hg 0.0004 0.4995 0.5002 1
Hg2 Hg 0.4996 0.2479 0.7491 1
Se1 Se 0.0958 0.4128 0.9288 1
Se2 Se 0.4844 0.0703 0.1668 1
Se3 Se 0.5161 0.6812 0.5865 1
Se4 Se 0.9039 0.8319 0.3166 1
```



(9)
Diffraction record for SmMg6Hg12. The X-ray diffraction stick pattern is computed, not measured: it uses a crystal structure in Alexandria, relaxed with GGA-PBE and Cu Kα (λ = 1.5418 Å).
No peak broadening, texture or thermal motion is included.

Top 12 peaks for 2θ from 10° to 90°, low angle first:
2θ 12.74, I 24.3
2θ 25.64, I 23.2
2θ 28.73, I 52.1
2θ 31.54, I 44.1
2θ 34.14, I 100.0
2θ 36.58, I 22.2
2θ 38.89, I 19.8
2θ 41.08, I 37.1
2θ 54.45, I 40.7
2θ 57.85, I 32.4
2θ 71.91, I 16.7
2θ 76.31, I 16.0

Structure:
```
data_SmMg6Hg12
_symmetry_space_group_name_H-M 'I m -3'
_symmetry_Int_Tables_number 204
_symmetry_space_group_name_Hall '-I 2 2 3'
_cell_length_a 9.8255
_cell_length_b 9.8255
_cell_length_c 9.8255
_cell_angle_alpha 90.00
_cell_angle_beta 90.00
_cell_angle_gamma 90.00
loop_
_atom_site_label
_atom_site_type_symbol
_atom_site_fract_x
_atom_site_fract_y
_atom_site_fract_z
_atom_site_occupancy
Sm1 Sm 0.0000 0.0000 0.0000 1
Mg1 Mg 0.0000 0.1547 0.5000 1
Hg1 Hg 0.0000 0.2756 0.1714 1
```



(10)
Diffraction record for SmMgTlHg. The X-ray diffraction stick pattern is computed, not measured: it uses a crystal structure in Alexandria, relaxed with GGA-PBE and Cu Kα (λ = 1.5418 Å).
No peak broadening, texture or thermal motion is included.

Top 12 peaks for 2θ from 10° to 90°, low angle first:
2θ 20.80, I 10.8
2θ 24.07, I 18.1
2θ 34.29, I 100.0
2θ 40.45, I 5.9
2θ 42.33, I 5.8
2θ 49.28, I 18.2
2θ 54.05, I 2.6
2θ 55.57, I 8.0
2θ 61.41, I 37.8
2θ 72.26, I 11.7
2θ 77.42, I 4.0
2θ 82.48, I 16.7

Structure:
```
data_SmMgTlHg
_symmetry_space_group_name_H-M 'F -4 3 m'
_symmetry_Int_Tables_number 216
_symmetry_space_group_name_Hall 'F -4 2 3'
_cell_length_a 7.3960
_cell_length_b 7.3960
_cell_length_c 7.3960
_cell_angle_alpha 90.00
_cell_angle_beta 90.00
_cell_angle_gamma 90.00
loop_
_atom_site_label
_atom_site_type_symbol
_atom_site_fract_x
_atom_site_fract_y
_atom_site_fract_z
_atom_site_occupancy
Sm1 Sm 0.0000 0.0000 0.0000 1
Mg1 Mg 0.0000 0.0000 0.5000 1
Tl1 Tl 0.2500 0.2500 0.2500 1
Hg1 Hg 0.2500 0.2500 0.7500 1
```



(11)
Diffraction record for SmYMg2Hg4. The X-ray diffraction stick pattern is computed, not measured: it uses a crystal structure in Alexandria, relaxed with GGA-PBE and Cu Kα (λ = 1.5418 Å).
No peak broadening, texture or thermal motion is included.

Top 12 peaks for 2θ from 10° to 90°, low angle first:
2θ 21.30, I 7.1
2θ 24.65, I 25.9
2θ 35.13, I 100.0
2θ 43.42, I 6.2
2θ 50.53, I 17.9
2θ 57.06, I 5.7
2θ 62.91, I 9.2
2θ 63.08, I 27.8
2θ 74.17, I 5.8
2θ 74.36, I 5.8
2θ 84.82, I 8.3
2θ 84.96, I 8.4

Structure:
```
data_SmYMg2Hg4
_symmetry_space_group_name_H-M 'R -3 m'
_symmetry_Int_Tables_number 166
_symmetry_space_group_name_Hall '-R 3 2"'
_cell_length_a 5.1030
_cell_length_b 5.1030
_cell_length_c 25.0805
_cell_angle_alpha 90.00
_cell_angle_beta 90.00
_cell_angle_gamma 120.00
loop_
_atom_site_label
_atom_site_type_symbol
_atom_site_fract_x
_atom_site_fract_y
_atom_site_fract_z
_atom_site_occupancy
Sm1 Sm 0.0000 0.0000 0.0000 1
Y1 Y 0.0000 0.0000 0.5000 1
Mg1 Mg 0.0000 0.0000 0.2497 1
Hg1 Hg 0.0000 0.0000 0.1261 1
Hg2 Hg 0.0000 0.0000 0.3766 1
```



(12)
Diffraction record for SmMg2ZnHg4. The X-ray diffraction stick pattern is computed, not measured: it uses a crystal structure in Alexandria, relaxed with GGA-PBE and Cu Kα (λ = 1.5418 Å).
No peak broadening, texture or thermal motion is included.

Top 12 peaks for 2θ from 10° to 90°, low angle first:
2θ 22.07, I 13.6
2θ 25.04, I 57.1
2θ 34.58, I 100.0
2θ 36.79, I 95.2
2θ 45.02, I 12.7
2θ 51.38, I 32.8
2θ 59.49, I 11.4
2θ 60.51, I 15.4
2θ 64.85, I 32.7
2θ 66.26, I 17.2
2θ 84.61, I 11.8
2θ 88.47, I 14.8

Structure:
```
data_SmMg2ZnHg4
_symmetry_space_group_name_H-M 'R -3 m'
_symmetry_Int_Tables_number 166
_symmetry_space_group_name_Hall '-R 3 2"'
_cell_length_a 4.8862
_cell_length_b 4.8862
_cell_length_c 26.2580
_cell_angle_alpha 90.00
_cell_angle_beta 90.00
_cell_angle_gamma 120.00
loop_
_atom_site_label
_atom_site_type_symbol
_atom_site_fract_x
_atom_site_fract_y
_atom_site_fract_z
_atom_site_occupancy
Sm1 Sm 0.0000 0.0000 0.0000 1
Mg1 Mg 0.0000 0.0000 0.2442 1
Zn1 Zn 0.0000 0.0000 0.5000 1
Hg1 Hg 0.0000 0.0000 0.1271 1
Hg2 Hg 0.0000 0.0000 0.3857 1
```